Structure and simulated X-ray diffraction stick pattern of HfZr2Ni2Sb4Pd2 (a crystal structure in OQMD, relaxed with PBE; Cu Ka).

Crystal structure
```
data_HfZr2Ni2Sb4Pd2
_cell_length_a 6.884
_cell_length_b 4.135
_cell_length_c 7.774
_cell_angle_alpha 90.00
_cell_angle_beta 90.29
_cell_angle_gamma 90.00
_symmetry_space_group_name_H-M 'P 1 m 1'
_symmetry_Int_Tables_number 6
loop_
_symmetry_equiv_pos_as_xyz
'x,y,z'
'x,-y,z'
loop_
_atom_site_label
_atom_site_fract_x
_atom_site_fract_y
_atom_site_fract_z
Hf1 0.000 0.000 0.000
Zr1 0.070 0.500 0.596
Zr2 0.545 0.500 0.497
Ni1 0.136 0.500 0.236
Ni2 0.913 0.000 0.350
Sb1 0.287 0.000 0.372
Sb2 0.294 0.500 0.937
Sb3 0.761 0.500 0.193
Sb4 0.783 0.000 0.664
Pd1 0.370 0.000 0.729
Pd2 0.686 0.500 0.864
```

The 10 most intense peaks (2θ = 10–90°), low angle first:
Position (°2θ)	I/Imax	index
17.2	227	1 0 -1
26.4	178	1 0 2
27.6	253	1 1 -1
33.9	305	2 1 0
34.3	505	1 1 2
35.9	1000	2 1 -1
37.0	149	1 0 -3
41.1	776	0 1 3
43.2	128	1 1 -3
43.8	514	0 2 0



Structure and simulated X-ray diffraction stick pattern of KNdTeSe (a crystal structure in OQMD, relaxed with PBE; Cu Ka).

Crystal structure
```
data_KNdTeSe
_cell_length_a 4.4771
_cell_length_b 4.4771
_cell_length_c 24.0440
_cell_angle_alpha 90.00
_cell_angle_beta 90.00
_cell_angle_gamma 120.00
_symmetry_space_group_name_H-M 'R 3 m'
_symmetry_Int_Tables_number 160
_symmetry_space_group_name_Hall 'R 3 -2"'
loop_
_atom_site_label
_atom_site_fract_x
_atom_site_fract_y
_atom_site_fract_z
K1 0.0000 0.0000 0.0000
Nd1 0.0000 0.0000 0.4901
Te1 0.0000 0.0000 0.2343
Se1 0.0000 0.0000 0.7595
```

The 10 most intense peaks (2θ = 10–90°), low angle first:
Position (°2θ)	I/Imax	index
11.0	416	0 0 3
27.4	1000	1 0 4
34.9	154	1 0 7
37.9	351	0 1 8
40.3	369	1 1 0
49.4	192	0 2 4
56.5	107	2 0 8
62.2	120	1 1 12
65.6	161	2 1 4
71.6	104	1 2 8



Structure and simulated X-ray diffraction stick pattern of TbHoZn2Ga2 (a crystal structure in OQMD, relaxed with PBE; Cu Ka).

Crystal structure
```
data_TbHoZn2Ga2
_cell_length_a 4.3947
_cell_length_b 4.3947
_cell_length_c 7.2138
_cell_angle_alpha 90.00
_cell_angle_beta 90.00
_cell_angle_gamma 120.00
_symmetry_space_group_name_H-M 'P -3 m 1'
_symmetry_Int_Tables_number 164
_symmetry_space_group_name_Hall '-P 3 2"'
loop_
_atom_site_label
_atom_site_fract_x
_atom_site_fract_y
_atom_site_fract_z
Tb1 0.0000 0.0000 0.0000
Ho1 0.0000 0.0000 0.5000
Zn1 0.3333 0.6667 0.2526
Ga1 0.3333 0.6667 0.7483
```

The 10 most intense peaks (2θ = 10–90°), low angle first:
Position (°2θ)	I/Imax	index
23.4	185	1 0 0
34.3	1000	1 0 2
41.1	521	1 1 0
50.6	94	0 0 4
54.5	263	0 2 2
67.1	236	1 1 4
70.5	241	2 1 2
74.8	86	3 0 0
84.5	74	1 0 6
89.1	56	2 2 0



Structure and simulated X-ray diffraction stick pattern of BaZnNiSe3 (a crystal structure in OQMD, relaxed with PBE; Cu Ka).

Crystal structure
```
data_BaZnNiSe3
_cell_length_a 4.078
_cell_length_b 14.031
_cell_length_c 10.000
_cell_angle_alpha 90.00
_cell_angle_beta 90.00
_cell_angle_gamma 90.00
_symmetry_space_group_name_H-M 'C m c m'
_symmetry_Int_Tables_number 63
_symmetry_space_group_name_Hall '-C 2c 2'
loop_
_atom_site_label
_atom_site_fract_x
_atom_site_fract_y
_atom_site_fract_z
Ba1 0.000 0.243 0.250
Zn1 0.000 0.469 0.750
Ni1 0.000 0.000 0.000
Se1 0.000 0.068 0.750
Se2 0.000 0.378 0.542
```

The 10 most intense peaks (2θ = 10–90°), low angle first:
Position (°2θ)	I/Imax	index
30.4	1000	1 3 1
31.1	361	0 4 2
34.2	422	1 3 2
35.4	231	1 1 3
35.9	380	0 0 4
43.1	252	1 5 2
44.4	346	2 0 0
54.8	315	1 3 5
58.3	178	1 7 3
58.4	179	2 0 4



Structure and simulated X-ray diffraction stick pattern of Gd3As4 (a crystal structure in OQMD, relaxed with PBE; Cu Ka).

Crystal structure
```
data_Gd3As4
_cell_length_a 14.862
_cell_length_b 16.332
_cell_length_c 5.461
_cell_angle_alpha 90.00
_cell_angle_beta 90.00
_cell_angle_gamma 90.00
_symmetry_space_group_name_H-M 'F d d 2'
_symmetry_Int_Tables_number 43
_symmetry_space_group_name_Hall 'F 2 -2d'
loop_
_atom_site_label
_atom_site_fract_x
_atom_site_fract_y
_atom_site_fract_z
Gd1 0.000 0.000 0.000
Gd2 0.003 0.166 0.460
As1 0.094 0.341 0.439
As2 0.108 0.481 0.037
```

The 10 most intense peaks (2θ = 10–90°), low angle first:
Position (°2θ)	I/Imax	index
23.8	234	1 3 1
29.4	1000	3 3 1
35.0	528	2 0 2
35.1	560	2 6 0
36.8	206	3 5 1
38.2	818	5 3 1
47.1	367	0 6 2
49.0	308	8 0 0
70.4	217	8 6 2
72.4	213	10 6 0



Structure and simulated X-ray diffraction stick pattern of PmAl4Ir (a crystal structure in OQMD, relaxed with PBE; Cu Ka).

Crystal structure
```
data_PmAl4Ir
_cell_length_a 7.796
_cell_length_b 4.140
_cell_length_c 6.994
_cell_angle_alpha 90.00
_cell_angle_beta 90.00
_cell_angle_gamma 90.00
_symmetry_space_group_name_H-M 'P m m a'
_symmetry_Int_Tables_number 51
loop_
_symmetry_equiv_pos_as_xyz
'x,y,z'
'-x,-y,-z'
'-x+1/2,-y,z'
'x+1/2,y,-z'
'x+1/2,-y,-z'
'-x+1/2,y,z'
'-x,y,-z'
'x,-y,z'
loop_
_atom_site_label
_atom_site_fract_x
_atom_site_fract_y
_atom_site_fract_z
Pm1 0.250 0.000 0.125
Al1 0.000 0.000 0.500
Al2 0.065 0.500 0.810
Al3 0.250 0.500 0.458
Ir1 0.250 0.000 0.697
```

The 10 most intense peaks (2θ = 10–90°), low angle first:
Position (°2θ)	I/Imax	index
21.5	815	0 1 0
22.8	800	2 0 0
28.0	604	1 0 2
31.5	816	2 1 0
35.5	1000	1 1 2
41.0	402	2 1 2
43.4	273	3 0 2
43.7	323	0 2 0
48.9	282	3 1 2
52.7	293	1 2 2



Structure and simulated X-ray diffraction stick pattern of CsAlPt (a crystal structure in OQMD, relaxed with PBE; Cu Ka).

Crystal structure
```
data_CsAlPt
_cell_length_a 7.189
_cell_length_b 7.189
_cell_length_c 7.189
_cell_angle_alpha 90.00
_cell_angle_beta 90.00
_cell_angle_gamma 90.00
_symmetry_space_group_name_H-M 'F -4 3 m'
_symmetry_Int_Tables_number 216
_symmetry_space_group_name_Hall 'F -4 2 3'
loop_
_atom_site_label
_atom_site_fract_x
_atom_site_fract_y
_atom_site_fract_z
Cs1 0.000 0.000 0.000
Al1 0.000 0.000 0.500
Pt1 0.250 0.250 0.750
```

The 10 most intense peaks (2θ = 10–90°), low angle first:
Position (°2θ)	I/Imax	index
21.4	914	1 1 1
35.3	1000	2 2 0
41.7	494	3 1 1
50.8	178	4 0 0
55.7	213	3 3 1
63.4	368	4 2 2
67.7	159	5 1 1
74.7	115	4 4 0
78.8	158	5 3 1
85.4	165	6 2 0



Structure and simulated X-ray diffraction stick pattern of BaHoGaS3 (a crystal structure in OQMD, relaxed with PBE; Cu Ka).

Crystal structure
```
data_BaHoGaS3
_cell_length_a 4.021
_cell_length_b 14.403
_cell_length_c 11.242
_cell_angle_alpha 90.00
_cell_angle_beta 90.00
_cell_angle_gamma 90.00
_symmetry_space_group_name_H-M 'C m c m'
_symmetry_Int_Tables_number 63
_symmetry_space_group_name_Hall '-C 2c 2'
loop_
_atom_site_label
_atom_site_fract_x
_atom_site_fract_y
_atom_site_fract_z
Ba1 0.000 0.193 0.250
Ho1 0.000 0.500 0.000
Ga1 0.000 0.113 0.750
S1 0.000 0.126 0.506
S2 0.000 0.495 0.750
```

The 10 most intense peaks (2θ = 10–90°), low angle first:
Position (°2θ)	I/Imax	index
12.3	280	0 2 0
20.0	700	0 2 2
28.0	453	1 1 2
29.0	1000	1 3 0
31.8	534	0 0 4
41.8	256	1 5 2
43.6	634	1 3 4
45.1	198	2 0 0
49.8	193	2 2 2
56.3	202	2 0 4